(1)
Calculated powder diffractogram
Compound: NpSi2Ge2Pt7
Radiation: λ = 1.5418 Å (Cu Kα)
Structure: DFT lattice parameters and positions (GGA-PBE)

Peak list (8 most intense, 10 to 90 degrees two-theta, sorted by position)
12.0°, intensity 42; 30.4°, intensity 53; 34.6°, intensity 60; 35.7°, intensity 69; 35.8°, intensity 69; 37.3°, intensity 80; 43.1°, intensity 42; 46.4°, intensity 100

Atomic structure:
Unit cell a=5.549 b=5.537 c=14.763 alpha=90.00 beta=95.60 gamma=90.00
Space group C2/m (No. 12)
One atom of each set of equivalent atoms:
Np 0.000 0.000 0.000 (multiplicity 2)
Si 0.069 0.500 0.253 (multiplicity 4)
Ge 0.150 0.000 0.425 (multiplicity 4)
Pt 0.000 0.500 0.000 (multiplicity 2)
Pt 0.098 0.500 0.412 (multiplicity 4)
Pt 0.207 0.250 0.843 (multiplicity 8)


(2)
Calculated powder diffractogram
Compound: Np2ZnGePt6
Radiation: λ = 1.5418 Å (Cu Kα)
Structure: DFT lattice parameters and positions (GGA-PBE)

Peak list (8 most intense, 10 to 90 degrees two-theta, sorted by position)
11.1°, intensity 62; 22.4°, intensity 50; 35.4°, intensity 23; 38.1°, intensity 100; 39.5°, intensity 42; 40.4°, intensity 93; 42.3°, intensity 39; 67.2°, intensity 31

Atomic structure:
Unit cell a=9.647 b=5.570 c=8.560 alpha=90.00 beta=112.02 gamma=90.00
Space group C2/m (No. 12)
One atom of each set of equivalent atoms:
Np 0.200 0.000 0.101 (multiplicity 4)
Zn 0.000 0.000 0.500 (multiplicity 2)
Ge 0.000 0.500 0.000 (multiplicity 2)
Pt 0.004 0.247 0.759 (multiplicity 8)
Pt 0.249 0.500 0.241 (multiplicity 4)


(3)
Calculated powder diffractogram
Compound: Np2ZnGe4Pt3
Radiation: λ = 1.5418 Å (Cu Kα)
Structure: DFT lattice parameters and positions (GGA-PBE)

Peak list (8 most intense, 10 to 90 degrees two-theta, sorted by position)
29.8°, intensity 29; 33.1°, intensity 81; 34.4°, intensity 100; 42.7°, intensity 65; 48.2°, intensity 39; 55.1°, intensity 39; 62.0°, intensity 24; 66.3°, intensity 30

Atomic structure:
Unit cell a=4.233 b=4.233 c=10.553 alpha=90.00 beta=90.00 gamma=90.00
Space group P-4m2 (No. 115)
One atom of each set of equivalent atoms:
Np 0.000 0.500 0.247 (multiplicity 2)
Zn 0.500 0.500 0.000 (multiplicity 1)
Ge 0.000 0.000 0.500 (multiplicity 1)
Ge 0.000 0.500 0.861 (multiplicity 2)
Ge 0.500 0.500 0.500 (multiplicity 1)
Pt 0.000 0.000 0.000 (multiplicity 1)
Pt 0.000 0.500 0.630 (multiplicity 2)


(4)
Calculated powder diffractogram
Compound: Rb3Np3GeS8
Radiation: λ = 1.5418 Å (Cu Kα)
Structure: DFT lattice parameters and positions (GGA-PBE)

Peak list (8 most intense, 10 to 90 degrees two-theta, sorted by position)
11.5°, intensity 72; 23.1°, intensity 28; 25.6°, intensity 20; 26.5°, intensity 49; 29.8°, intensity 100; 40.5°, intensity 36; 44.7°, intensity 34; 50.9°, intensity 22

Atomic structure:
Unit cell a=8.1132 b=8.1132 c=23.0800 alpha=90.00 beta=90.00 gamma=120.00
Space group R-3m (No. 166, hexagonal axes)
One atom of each set of equivalent atoms:
Rb 0.0000 0.5000 0.0000 (multiplicity 9)
Np 0.0000 0.5000 0.5000 (multiplicity 9)
Ge 0.0000 0.0000 0.5000 (multiplicity 3)
S 0.0000 0.0000 0.2298 (multiplicity 6)
S 0.0054 0.5027 0.7730 (multiplicity 18)


(5)
Calculated powder diffractogram
Compound: Rb3Np3GeTe8
Radiation: λ = 1.5418 Å (Cu Kα)
Structure: DFT lattice parameters and positions (GGA-PBE)

Peak list (8 most intense, 10 to 90 degrees two-theta, sorted by position)
10.3°, intensity 58; 26.6°, intensity 100; 33.4°, intensity 16; 36.1°, intensity 31; 39.9°, intensity 38; 45.0°, intensity 14; 48.6°, intensity 19; 64.6°, intensity 17

Atomic structure:
Unit cell a=15.660 b=9.047 c=10.051 alpha=90.00 beta=121.13 gamma=90.00
Space group C2/m (No. 12)
One atom of each set of equivalent atoms:
Rb 0.000 0.000 0.000 (multiplicity 2)
Rb 0.250 0.250 0.000 (multiplicity 4)
Np 0.000 0.500 0.500 (multiplicity 2)
Np 0.250 0.250 0.500 (multiplicity 4)
Ge 0.000 0.000 0.500 (multiplicity 2)
Te 0.019 0.249 0.311 (multiplicity 8)
Te 0.229 0.000 0.688 (multiplicity 4)
Te 0.234 0.500 0.701 (multiplicity 4)


(6)
Calculated powder diffractogram
Compound: Np3Ge4Rh4
Radiation: λ = 1.5418 Å (Cu Kα)
Structure: DFT lattice parameters and positions (GGA-PBE)

Peak list (8 most intense, 10 to 90 degrees two-theta, sorted by position)
10.7°, intensity 15; 23.0°, intensity 23; 31.4°, intensity 18; 37.2°, intensity 18; 38.4°, intensity 100; 44.0°, intensity 23; 44.2°, intensity 22; 64.2°, intensity 14

Atomic structure:
Unit cell a=8.237 b=4.094 c=11.918 alpha=90.00 beta=90.00 gamma=90.00
Space group Amm2 (No. 38)
One atom of each set of equivalent atoms:
Np 0.000 0.000 0.000 (multiplicity 2)
Np 0.251 0.000 0.116 (multiplicity 4)
Ge 0.000 0.000 0.687 (multiplicity 2)
Ge 0.257 0.000 0.434 (multiplicity 4)
Ge 0.500 0.000 0.685 (multiplicity 2)
Rh 0.000 0.000 0.315 (multiplicity 2)
Rh 0.251 0.000 0.811 (multiplicity 4)
Rh 0.500 0.000 0.304 (multiplicity 2)


(7)
Calculated powder diffractogram
Compound: Np2Ge7Rh12
Radiation: λ = 1.5418 Å (Cu Kα)
Structure: DFT lattice parameters and positions (GGA-PBE)

Peak list (8 most intense, 10 to 90 degrees two-theta, sorted by position)
30.9°, intensity 9; 35.8°, intensity 100; 44.3°, intensity 10; 46.6°, intensity 14; 48.1°, intensity 22; 51.6°, intensity 8; 69.2°, intensity 10; 79.3°, intensity 9

Atomic structure:
Unit cell a=10.0088 b=10.0088 c=3.8976 alpha=90.00 beta=90.00 gamma=120.00
Space group P-3 (No. 147)
One atom of each set of equivalent atoms:
Np 0.3333 0.6667 0.2492 (multiplicity 2)
Ge 0.0000 0.0000 0.0000 (multiplicity 1)
Ge 0.1123 0.7105 0.7503 (multiplicity 6)
Rh 0.0642 0.4446 0.7487 (multiplicity 6)
Rh 0.1203 0.2629 0.2493 (multiplicity 6)


(8)
Calculated powder diffractogram
Compound: Np4Ge12Rh
Radiation: λ = 1.5418 Å (Cu Kα)
Structure: DFT lattice parameters and positions (GGA-PBE)

Peak list (8 most intense, 10 to 90 degrees two-theta, sorted by position)
20.6°, intensity 26; 29.3°, intensity 55; 36.1°, intensity 100; 41.9°, intensity 62; 47.1°, intensity 17; 52.0°, intensity 19; 60.8°, intensity 38; 72.8°, intensity 33

Atomic structure:
Unit cell a=8.621 b=8.621 c=8.621 alpha=90.00 beta=90.00 gamma=90.00
Space group Im-3m (No. 229)
One atom of each set of equivalent atoms:
Np 0.250 0.250 0.250 (multiplicity 8)
Ge 0.000 0.000 0.292 (multiplicity 12)
Ge 0.000 0.250 0.500 (multiplicity 12)
Rh 0.000 0.000 0.000 (multiplicity 2)


(9)
Calculated powder diffractogram
Compound: NpGe3Rh3
Radiation: λ = 1.5418 Å (Cu Kα)
Structure: DFT lattice parameters and positions (GGA-PBE)

Peak list (8 most intense, 10 to 90 degrees two-theta, sorted by position)
26.6°, intensity 43; 32.7°, intensity 100; 51.0°, intensity 58; 54.8°, intensity 20; 62.0°, intensity 16; 65.3°, intensity 14; 78.2°, intensity 17; 81.2°, intensity 13

Atomic structure:
Unit cell a=6.698 b=6.698 c=6.698 alpha=90.00 beta=90.00 gamma=90.00
Space group Pm-3n (No. 223)
One atom of each set of equivalent atoms:
Np 0.000 0.000 0.000 (multiplicity 2)
Ge 0.000 0.250 0.500 (multiplicity 6)
Rh 0.000 0.500 0.250 (multiplicity 6)


(10)
Calculated powder diffractogram
Compound: Np2Ge3Ru5
Radiation: λ = 1.5418 Å (Cu Kα)
Structure: DFT lattice parameters and positions (GGA-PBE)

Peak list (8 most intense, 10 to 90 degrees two-theta, sorted by position)
23.8°, intensity 13; 35.5°, intensity 22; 36.0°, intensity 47; 37.1°, intensity 100; 38.7°, intensity 19; 39.0°, intensity 40; 43.3°, intensity 36; 69.7°, intensity 14

Atomic structure:
Unit cell a=4.176 b=24.968 c=6.381 alpha=90.00 beta=90.00 gamma=90.00
Space group Cmc2_1 (No. 36)
One atom of each set of equivalent atoms:
Np 0.000 0.008 0.000 (multiplicity 4)
Np 0.000 0.327 0.988 (multiplicity 4)
Ge 0.000 0.109 0.219 (multiplicity 4)
Ge 0.000 0.272 0.484 (multiplicity 4)
Ge 0.000 0.447 0.233 (multiplicity 4)
Ru 0.000 0.105 0.642 (multiplicity 4)
Ru 0.000 0.204 0.769 (multiplicity 4)
Ru 0.000 0.208 0.192 (multiplicity 4)
Ru 0.000 0.370 0.486 (multiplicity 4)
Ru 0.000 0.447 0.833 (multiplicity 4)


(11)
Calculated powder diffractogram
Compound: Np2GeSb4
Radiation: λ = 1.5418 Å (Cu Kα)
Structure: DFT lattice parameters and positions (GGA-PBE)

Peak list (8 most intense, 10 to 90 degrees two-theta, sorted by position)
22.1°, intensity 21; 28.3°, intensity 14; 29.9°, intensity 16; 34.4°, intensity 100; 35.4°, intensity 15; 40.4°, intensity 39; 57.4°, intensity 14; 69.6°, intensity 26

Atomic structure:
Unit cell a=4.465 b=4.465 c=9.228 alpha=90.00 beta=90.00 gamma=90.00
Space group P-4m2 (No. 115)
One atom of each set of equivalent atoms:
Np 0.000 0.500 0.235 (multiplicity 2)
Ge 0.500 0.500 0.000 (multiplicity 1)
Sb 0.000 0.000 0.500 (multiplicity 1)
Sb 0.000 0.500 0.817 (multiplicity 2)
Sb 0.500 0.500 0.500 (multiplicity 1)


(12)
Calculated powder diffractogram
Compound: NpGeSe
Radiation: λ = 1.5418 Å (Cu Kα)
Structure: DFT lattice parameters and positions (GGA-PBE)

Peak list (8 most intense, 10 to 90 degrees two-theta, sorted by position)
23.1°, intensity 52; 27.7°, intensity 39; 31.9°, intensity 50; 33.8°, intensity 44; 38.8°, intensity 100; 44.8°, intensity 41; 45.7°, intensity 50; 66.7°, intensity 38

Atomic structure:
Unit cell a=3.967 b=3.967 c=16.485 alpha=90.00 beta=90.00 gamma=90.00
Space group I4/mmm (No. 139)
One atom of each set of equivalent atoms:
Np 0.000 0.000 0.139 (multiplicity 4)
Ge 0.000 0.500 0.000 (multiplicity 4)
Se 0.000 0.000 0.319 (multiplicity 4)


(13)
Calculated powder diffractogram
Compound: Np2Si2Ge3
Radiation: λ = 1.5418 Å (Cu Kα)
Structure: DFT lattice parameters and positions (GGA-PBE)

Peak list (8 most intense, 10 to 90 degrees two-theta, sorted by position)
21.4°, intensity 78; 30.4°, intensity 100; 37.5°, intensity 98; 43.5°, intensity 53; 49.0°, intensity 46; 54.0°, intensity 36; 63.3°, intensity 34; 75.9°, intensity 43

Atomic structure:
Unit cell a=8.313 b=8.313 c=8.313 alpha=90.00 beta=90.00 gamma=90.00
Space group I2_13 (No. 199)
One atom of each set of equivalent atoms:
Np 0.002 0.498 0.502 (multiplicity 8)
Si 0.191 0.309 0.691 (multiplicity 8)
Ge 0.000 0.250 0.250 (multiplicity 12)